1.
This entry pairs a crystal structure of ZnC2N6Cl4 with its theoretical X-ray powder pattern. Radiation: λ = 1.5418 Å (Cu Kα). Structure: DFT lattice parameters and positions (GGA-PBE).

Peak list (12 most intense, 2θ = 5–70°, most intense first)
d/Å, 2theta, Rel. int.
7.426, 11.92, 1000
11.740, 7.53, 705
3.788, 23.48, 621
4.553, 19.50, 527
5.762, 15.38, 319
3.358, 26.54, 291
2.658, 33.72, 248
3.307, 26.96, 247
4.676, 18.98, 246
5.191, 17.08, 239
6.921, 12.79, 237
2.276, 39.61, 193

Atomic structure:
```
ZnC2N6Cl4
1.0
7.4556 0.0000 0.0000
0.2211 7.5577 0.0000
0.4081 2.4074 11.7399
Zn C N Cl
2 4 12 8
direct
0.0571 0.4587 0.3810
0.9429 0.5413 0.6190
0.2187 0.8460 0.8979
0.2843 0.7126 0.5033
0.7157 0.2874 0.4967
0.7813 0.1540 0.1021
0.0360 0.9018 0.8749
0.1457 0.6158 0.4928
0.2582 0.6847 0.9614
0.3115 0.7709 0.6004
0.3396 0.9690 0.8523
0.4192 0.7649 0.4163
0.5808 0.2351 0.5837
0.6604 0.0310 0.1477
0.6885 0.2291 0.3996
0.7418 0.3153 0.0386
0.8543 0.3842 0.5072
0.9640 0.0982 0.1251
0.1091 0.3960 0.7550
0.1176 0.2503 0.0690
0.2534 0.2370 0.3903
0.4008 0.7015 0.2941
0.5992 0.2985 0.7059
0.7466 0.7630 0.6097
0.8824 0.7497 0.9310
0.8909 0.6040 0.2450
```

2.
This entry pairs a crystal structure of ZrC8N2Cl6 with its theoretical X-ray powder pattern. Radiation: λ = 1.5418 Å (Cu Kα). Structure: DFT lattice parameters and positions (GGA-PBE).

Peak list (12 most intense, 2θ = 5–70°, most intense first)
d/Å, 2theta, Rel. int.
2.732, 32.78, 1000
6.169, 14.36, 949
6.793, 13.03, 649
3.085, 28.95, 385
2.514, 35.72, 326
1.869, 48.73, 291
2.098, 43.12, 267
5.464, 16.22, 265
4.003, 22.20, 257
2.379, 37.82, 215
2.002, 45.30, 207
3.737, 23.81, 202

Atomic structure:
```
ZrC8N2Cl6
1.0
3.7373 2.1577 6.7929
-3.7373 2.1577 6.7929
0.0000 -4.3154 6.7929
Zr C N Cl
1 8 2 6
direct
0.0000 0.0000 0.0000
0.0949 0.3366 0.3366
0.3087 0.3087 0.3087
0.3366 0.0949 0.3366
0.3366 0.3366 0.0949
0.6545 0.6545 0.9384
0.6545 0.9384 0.6545
0.7069 0.7069 0.7069
0.9384 0.6545 0.6545
0.2045 0.2045 0.2045
0.7933 0.7933 0.7933
0.2296 0.2296 0.7616
0.2296 0.7616 0.2296
0.2430 0.7733 0.7734
0.7616 0.2296 0.2296
0.7734 0.2430 0.7734
0.7734 0.7734 0.2430
```

What did the first record say?
This entry pairs a crystal structure of ZnC2N6Cl4 with its theoretical X-ray powder pattern. Radiation: λ = 1.5418 Å (Cu Kα). Structure: DFT lattice parameters and positions (GGA-PBE).

Peak list (12 most intense, 2θ = 5–70°, most intense first)
d/Å, 2theta, Rel. int.
7.426, 11.92, 1000
11.740, 7.53, 705
3.788, 23.48, 621
4.553, 19.50, 527
5.762, 15.38, 319
3.358, 26.54, 291
2.658, 33.72, 248
3.307, 26.96, 247
4.676, 18.98, 246
5.191, 17.08, 239
6.921, 12.79, 237
2.276, 39.61, 193

Atomic structure:
```
ZnC2N6Cl4
1.0
7.4556 0.0000 0.0000
0.2211 7.5577 0.0000
0.4081 2.4074 11.7399
Zn C N Cl
2 4 12 8
direct
0.0571 0.4587 0.3810
0.9429 0.5413 0.6190
0.2187 0.8460 0.8979
0.2843 0.7126 0.5033
0.7157 0.2874 0.4967
0.7813 0.1540 0.1021
0.0360 0.9018 0.8749
0.1457 0.6158 0.4928
0.2582 0.6847 0.9614
0.3115 0.7709 0.6004
0.3396 0.9690 0.8523
0.4192 0.7649 0.4163
0.5808 0.2351 0.5837
0.6604 0.0310 0.1477
0.6885 0.2291 0.3996
0.7418 0.3153 0.0386
0.8543 0.3842 0.5072
0.9640 0.0982 0.1251
0.1091 0.3960 0.7550
0.1176 0.2503 0.0690
0.2534 0.2370 0.3903
0.4008 0.7015 0.2941
0.5992 0.2985 0.7059
0.7466 0.7630 0.6097
0.8824 0.7497 0.9310
0.8909 0.6040 0.2450
```